Diffraction record for Li9Mn2Co5O16. The PXRD pattern is calculated, not measured: it uses a structure optimized by DFT (PBE+U) and Cu Ka.

Main lines, sorted by position (10° ≤ 2θ ≤ 90°):
| index | Position (°2θ) | d (Å) | intensity |
| --- | --- | --- | --- |
| 2 0 -1 | 18.29 | 4.851 | 100 |
| 4 2 0 | 35.82 | 2.507 | 28 |
| 6 0 1 | 36.29 | 2.476 | 13 |
| 2 2 1 | 37.52 | 2.397 | 8 |
| 6 2 -1 | 43.34 | 2.088 | 56 |
| 4 0 2 | 43.90 | 2.062 | 27 |
| 10 0 -1 | 47.58 | 1.911 | 13 |
| 8 2 -2 | 57.13 | 1.612 | 9 |
| 12 0 -2 | 62.90 | 1.478 | 22 |
| 10 2 1 | 63.86 | 1.458 | 15 |

Structural model:
Cell: 19.4346 5.8940 5.1213 Å, 90.00 101.24 90.00°
Space group Cm (No. 8)
Symmetry-distinct sites (fractional):
1 Li 0.0000 0.0000 0.0000
2 Li 0.9999 0.2407 0.4934
3 Li 0.1227 0.0000 0.7570
4 Li 0.1233 0.5000 0.7499
5 Li 0.2499 0.2525 0.0003
6 Li 0.3772 0.0000 0.2457
7 Li 0.3771 0.5000 0.2471
8 Mn 0.0000 0.5000 0.9997
9 Mn 0.2498 0.5000 0.5000
10 Co 0.1223 0.2416 0.2439
11 Co 0.2507 0.0000 0.5007
12 Co 0.3793 0.2602 0.7500
13 O 0.0597 0.5000 0.3480
14 O 0.0632 0.2664 0.9026
15 O 0.0702 0.0000 0.3789
16 O 0.1880 0.0000 0.1441
17 O 0.1880 0.5000 0.1590
18 O 0.1921 0.2667 0.6119
19 O 0.3102 0.2570 0.3967
20 O 0.3116 0.5000 0.8504
21 O 0.3126 0.0000 0.8445
22 O 0.4321 0.5000 0.6243
23 O 0.4393 0.0000 0.6488
24 O 0.4402 0.2303 0.1066

=====

Diffraction record for Li2MnOF3. The PXRD pattern is calculated, not measured: it uses a structure optimized by DFT (PBE+U) and Cu Ka.

Main lines, sorted by position (10° ≤ 2θ ≤ 90°):
| index | Position (°2θ) | d (Å) | intensity |
| --- | --- | --- | --- |
| 2 0 0 | 18.22 | 4.868 | 100 |
| 2 0 -1 | 18.52 | 4.792 | 31 |
| 2 0 1 | 21.94 | 4.051 | 17 |
| 0 0 3 | 26.81 | 3.325 | 13 |
| 1 1 1 | 32.46 | 2.758 | 19 |
| 1 1 -2 | 34.57 | 2.594 | 25 |
| 4 0 -1 | 36.06 | 2.491 | 16 |
| 3 1 -2 | 41.95 | 2.154 | 84 |
| 2 0 4 | 44.15 | 2.051 | 34 |
| 1 1 -6 | 62.53 | 1.485 | 38 |

Structural model:
Cell: 9.9607 3.0642 10.2056 Å, 90.00 102.17 90.00°
Space group C2/m (No. 12)
Symmetry-distinct sites (fractional):
1 Li 0.0000 0.0000 0.0000
2 Li 0.0000 0.0000 0.5000
3 Li 0.2270 0.0000 0.3869
4 Mn 0.2424 0.0000 0.8746
5 O 0.1415 0.5000 0.9525
6 F 0.1277 0.5000 0.4512
7 F 0.1359 0.0000 0.1793
8 F 0.1487 0.0000 0.6944